# 1
For Li2WO4, a structure optimized by DFT (GGA+U) gives the theoretical X-ray powder pattern in this record (Cu Kα).

Crystal structure
Cell: 9.6339 9.6339 9.6339 Å, 101.21 101.21 127.68°
Fractional positions:
Li 0.0000 0.1348 0.1348
Li 0.0000 0.8652 0.8652
Li 0.1348 0.0000 0.6348
Li 0.1348 0.5000 0.1348
Li 0.2444 0.4944 0.4889
Li 0.2444 0.7556 0.7500
Li 0.4944 0.2444 0.9889
Li 0.4944 0.5056 0.2500
Li 0.5000 0.1348 0.6348
Li 0.5000 0.8652 0.3652
Li 0.5056 0.4944 0.7500
Li 0.5056 0.7556 0.0111
Li 0.7556 0.2444 0.2500
Li 0.7556 0.5056 0.5111
Li 0.8652 0.0000 0.3652
Li 0.8652 0.5000 0.8652
W 0.1103 0.7245 0.3858
W 0.1613 0.2755 0.8858
W 0.2755 0.1613 0.3858
W 0.2755 0.8897 0.1142
W 0.7245 0.1103 0.8858
W 0.7245 0.8387 0.6142
W 0.8387 0.7245 0.1142
W 0.8897 0.2755 0.6142
O 0.0147 0.6581 0.1434
O 0.0147 0.8714 0.3566
O 0.1140 0.4870 0.6270
O 0.1293 0.2245 0.3644
O 0.1293 0.7648 0.9048
O 0.1286 0.9853 0.1434
O 0.2245 0.1293 0.8644
O 0.2245 0.3601 0.0952
O 0.2352 0.6399 0.3644
O 0.2352 0.8707 0.5952
O 0.3419 0.9853 0.3566
O 0.3601 0.2245 0.5952
O 0.3600 0.4870 0.8730
O 0.3601 0.7648 0.1356
O 0.4870 0.1140 0.1270
O 0.4870 0.3600 0.3730
O 0.5130 0.6400 0.6270
O 0.5130 0.8860 0.8730
O 0.6399 0.2352 0.8644
O 0.6400 0.5130 0.1270
O 0.6399 0.7755 0.4048
O 0.6581 0.0147 0.6434
O 0.7648 0.1293 0.4048
O 0.7648 0.3601 0.6356
O 0.7755 0.6399 0.9048
O 0.7755 0.8707 0.1356
O 0.8714 0.0147 0.8566
O 0.8707 0.2352 0.0952
O 0.8707 0.7755 0.6356
O 0.8860 0.5130 0.3730
O 0.9853 0.1286 0.6434
O 0.9853 0.3419 0.8566

Most intense lines, 10° ≤ 2θ ≤ 90°, by intensity:
- 19.3 deg, 4.598 Å, I 100
- 14.5 deg, 6.114 Å, I 79
- 12.7 deg, 6.977 Å, I 75
- 24.2 deg, 3.675 Å, I 71
- 25.5 deg, 3.488 Å, I 66
- 28.3 deg, 3.150 Å, I 51

# 2
For PrGdTiVO6, a structure optimized by DFT (GGA+U) gives the theoretical X-ray powder pattern in this record (Cu Kα).

Crystal structure
Cell: 11.0859 11.1133 11.1187 Å, 90.00 90.00 90.00°
Fractional positions:
Pr 0.2500 0.2500 0.2500
Pr 0.2500 0.7500 0.7500
Pr 0.7500 0.2500 0.2500
Pr 0.7500 0.7500 0.7500
Gd 0.2500 0.2500 0.7500
Gd 0.2500 0.7500 0.2500
Gd 0.7500 0.2500 0.7500
Gd 0.7500 0.7500 0.2500
Ti 0.0000 0.0000 0.0000
Ti 0.0000 0.5000 0.5000
Ti 0.5000 0.0000 0.5000
Ti 0.5000 0.5000 0.0000
V 0.0000 0.0000 0.5000
V 0.0000 0.5000 0.0000
V 0.5000 0.0000 0.0000
V 0.5000 0.5000 0.5000
O 0.0453 0.2332 0.9436
O 0.0453 0.2668 0.5564
O 0.0506 0.0408 0.2335
O 0.0506 0.4592 0.2665
O 0.2338 0.5536 0.5374
O 0.2338 0.9464 0.9626
O 0.2662 0.5536 0.9626
O 0.2662 0.9464 0.5374
O 0.4494 0.0408 0.2665
O 0.4494 0.4592 0.2335
O 0.4547 0.2332 0.5564
O 0.4547 0.2668 0.9436
O 0.5453 0.7332 0.0564
O 0.5453 0.7668 0.4436
O 0.5506 0.5408 0.7665
O 0.5506 0.9592 0.7335
O 0.7338 0.0536 0.4626
O 0.7338 0.4464 0.0374
O 0.7662 0.0536 0.0374
O 0.7662 0.4464 0.4626
O 0.9494 0.5408 0.7335
O 0.9494 0.9592 0.7665
O 0.9547 0.7332 0.4436
O 0.9547 0.7668 0.0564

Most intense lines, 10° ≤ 2θ ≤ 90°, by intensity:
- 22.6 deg, 3.927 Å, I 100
- 39.8 deg, 2.267 Å, I 54
- 32.2 deg, 2.776 Å, I 32
- 16.0 deg, 5.553 Å, I 24
- 27.8 deg, 3.206 Å, I 22
- 46.2 deg, 1.963 Å, I 20